1.
Sn4Mo: theoretical PXRD pattern (Cu Kα), based on a cell relaxed with PBE.
Kinematic intensities with the Lorentz-polarization factor, no thermal factor.

Main lines, in order of falling intensity (2θ = 5–70°):
33.71°, I = 100; 36.05°, I = 91; 29.87°, I = 35; 65.80°, I = 29; 40.05°, I = 28; 42.76°, I = 26; 47.50°, I = 24; 21.00°, I = 24; 55.52°, I = 23; 42.44°, I = 22

Atomic structure:
abc: 5.4389 5.4389 5.4389
angles: 113.28 113.28 102.10
Fractional coordinates of all 5 atoms:
Sn: 0.1416 0.1416 0.6063
Sn: 0.4647 0.8584 0.0000
Sn: 0.5353 0.5353 0.3937
Sn: 0.8584 0.4647 0.0000
Mo: 0.0000 0.0000 0.0000

=====

2.
Tl2SnMo4: theoretical PXRD pattern (Cu Kα), based on a cell relaxed with PBE.
Kinematic intensities with the Lorentz-polarization factor, no thermal factor.

Main lines, in order of falling intensity (2θ = 5–70°):
36.16°, I = 100; 52.00°, I = 98; 36.03°, I = 89; 25.35°, I = 81; 35.70°, I = 60; 12.29°, I = 34; 64.73°, I = 24; 25.80°, I = 21; 28.26°, I = 17; 58.77°, I = 16

Atomic structure:
abc: 8.0144 8.0144 8.0144
angles: 143.89 143.89 52.00
Fractional coordinates of all 7 atoms:
Tl: 0.1211 0.1211 0.0000
Tl: 0.8789 0.8789 0.0000
Sn: 0.5000 0.5000 0.0000
Mo: 0.0000 0.5000 0.5000
Mo: 0.3165 0.3165 0.0000
Mo: 0.5000 0.0000 0.5000
Mo: 0.6835 0.6835 0.0000

=====

3.
V12SnMo6: theoretical PXRD pattern (Cu Kα), based on a cell relaxed with PBE.
Kinematic intensities with the Lorentz-polarization factor, no thermal factor.

Main lines, in order of falling intensity (2θ = 5–70°):
41.06°, I = 100; 40.56°, I = 97; 41.21°, I = 93; 42.44°, I = 57; 42.66°, I = 55; 42.84°, I = 53; 18.68°, I = 35; 60.76°, I = 18; 60.87°, I = 17; 60.18°, I = 17

Atomic structure:
abc: 6.0935 6.7359 6.9815
angles: 92.16 90.81 92.40
Fractional coordinates of all 19 atoms:
V: 0.1056 0.1580 0.0457
V: 0.1276 0.5552 0.8540
V: 0.1336 0.9485 0.6604
V: 0.3696 0.0489 0.3647
V: 0.3763 0.4321 0.1538
V: 0.3764 0.6512 0.5425
V: 0.6236 0.3488 0.4575
V: 0.6237 0.5679 0.8462
V: 0.6304 0.9511 0.6353
V: 0.8664 0.0515 0.3396
V: 0.8724 0.4448 0.1460
V: 0.8944 0.8420 0.9543
Sn: 0.5000 0.0000 0.0000
Mo: 0.1215 0.3473 0.4459
Mo: 0.1320 0.7530 0.2426
Mo: 0.3731 0.2715 0.7477
Mo: 0.6269 0.7285 0.2523
Mo: 0.8680 0.2470 0.7574
Mo: 0.8785 0.6527 0.5541

=====

4.
V4SnMo: theoretical PXRD pattern (Cu Kα), based on a cell relaxed with PBE.
Kinematic intensities with the Lorentz-polarization factor, no thermal factor.

Main lines, in order of falling intensity (2θ = 5–70°):
41.12°, I = 100; 40.70°, I = 21; 30.23°, I = 18; 59.24°, I = 13; 19.15°, I = 7; 59.86°, I = 6; 38.86°, I = 4; 57.86°, I = 4; 57.53°, I = 3; 67.65°, I = 2

Atomic structure:
abc: 5.1286 5.1286 4.4338
angles: 90.00 90.00 129.33
Fractional coordinates of all 6 atoms:
V: 0.1766 0.8234 0.0000
V: 0.3213 0.6787 0.5000
V: 0.6787 0.3213 0.5000
V: 0.8234 0.1766 0.0000
Sn: 0.0000 0.0000 0.5000
Mo: 0.5000 0.5000 0.0000